Starting from the PBE geometry in Alexandria, the X-ray powder pattern of MgTa3 was calculated for CuKα.
No peak broadening, texture or thermal motion is included.

Cell and atoms:
Cell lengths 8.4790, 7.7318, 4.5347 Å; angles 90.00, 90.00, 90.00 degrees
Space group Cmcm (No. 63)
Inequivalent atoms, fractional coordinates:
Mg: 0.0000 0.0965 0.2500 x4
Ta: 0.0000 0.3444 0.7500 x4
Ta: 0.2192 0.3760 0.2500 x8

Principal peaks in the range 2θ = 10–90°, in order of falling intensity:
d_spacing, I (rel.), (hkl)
2.417, 100, 2 2 1
5.713, 25, 1 1 0
2.267, 24, 0 0 2
2.291, 23, 3 1 1
1.336, 20, 2 2 3
2.120, 13, 4 0 0


Starting from the PBE geometry in Alexandria, the X-ray powder pattern of Ba4CaRh4O12 was calculated for CuKα.
No peak broadening, texture or thermal motion is included.

Cell and atoms:
Cell lengths 10.2382, 5.8216, 10.9288 Å; angles 90.00, 99.22, 90.00 degrees
Space group Cm (No. 8)
Inequivalent atoms, fractional coordinates:
Ba: 0.0000 0.0000 0.0000 x2
Ba: 0.0692 0.5000 0.5863 x2
Ba: 0.1954 0.0000 0.3935 x2
Ba: 0.2814 0.0000 0.8059 x2
Ca: 0.2482 0.5000 0.1739 x2
Rh: 0.1395 0.5000 0.9115 x2
Rh: 0.3719 0.5000 0.4388 x2
Rh: 0.4239 0.5000 0.6942 x2
Rh: 0.4721 0.0000 0.2209 x2
O: 0.0172 0.2527 0.8059 x4
O: 0.0235 0.5000 0.0537 x2
O: 0.0492 0.0000 0.5665 x2
O: 0.1663 0.5000 0.3602 x2
O: 0.2469 0.2611 0.0068 x4
O: 0.2598 0.5000 0.7800 x2
O: 0.3305 0.2704 0.5681 x4
O: 0.3932 0.2592 0.3018 x4

Principal peaks in the range 2θ = 10–90°, in order of falling intensity:
d_spacing, I (rel.), (hkl)
2.916, 100, 0 2 0
3.045, 33, 1 1 -3
3.546, 19, 1 1 2
3.424, 16, 2 0 2
2.218, 14, 2 2 2
1.682, 14, 3 3 -1


Starting from the PBE geometry in Alexandria, the X-ray powder pattern of La3Th13 was calculated for CuKα.
No peak broadening, texture or thermal motion is included.

Cell and atoms:
Cell lengths 7.1599, 7.1470, 10.2041 Å; angles 90.00, 90.07, 90.00 degrees
Space group Pm (No. 6)
Inequivalent atoms, fractional coordinates:
La: 0.0000 0.0000 0.0000 x1
La: 0.7444 0.2531 0.7446 x2
Th: 0.0002 0.5000 0.4930 x1
Th: 0.0007 0.0000 0.4934 x1
Th: 0.0027 0.5000 0.0012 x1
Th: 0.2480 0.2514 0.2492 x2
Th: 0.2502 0.2525 0.7443 x2
Th: 0.4904 0.0000 0.0012 x1
Th: 0.4939 0.5000 0.0007 x1
Th: 0.4942 0.5000 0.4923 x1
Th: 0.4948 0.0000 0.4928 x1
Th: 0.7455 0.2511 0.2484 x2

Principal peaks in the range 2θ = 10–90°, in order of falling intensity:
d_spacing, I (rel.), (hkl)
2.929, 100, 2 0 2
2.529, 34, 2 2 0
1.526, 29, 2 4 2
1.796, 25, 2 2 4
2.551, 17, 0 0 4
1.536, 15, 2 0 6